Entry 1:
Diffraction record for Gd6MgWO12. The PXRD pattern is simulated, not measured: it uses a DFT-relaxed cell (GGA+U, the Materials Project) and λ = 1.5418 Å (Cu Kα).
Intensities are scaled so that the largest is 100.

Atomic structure:
```
data_Gd6MgWO12
_chemical_formula_sum 'Gd18 Mg3 W3 O36'
_cell_length_a 10.1389
_cell_length_b 10.1389
_cell_length_c 9.4205
_cell_angle_alpha 90.00
_cell_angle_beta 90.00
_cell_angle_gamma 120.00
_space_group_name_H-M_alt 'R 3'
_space_group_IT_number 146
_space_group_name_Hall 'R 3'
loop_
_atom_site_label
_atom_site_type_symbol
_atom_site_fract_x
_atom_site_fract_y
_atom_site_fract_z
Gd1 Gd 0.0427 0.4379 0.0000
Gd2 Gd 0.1167 0.6973 0.7188
Mg1 Mg 0.0000 0.0000 0.4246
W1 W 0.0000 0.0000 0.7114
O1 O 0.0260 0.2233 0.0899
O2 O 0.0364 0.1777 0.5696
O3 O 0.1661 0.6970 0.9742
O4 O 0.1680 0.7010 0.4758
```

Peak list (12 most intense, 15 to 90 degrees two-theta, by intensity)
d (Å), 2θ (°), I (rel.)
3.133, 28.49, 100.0
2.713, 33.02, 32.3
1.635, 56.26, 23.6
1.921, 47.33, 17.9
1.916, 47.45, 16.7
2.140, 42.23, 8.3
2.670, 33.57, 7.2
1.565, 59.02, 7.1
2.358, 38.17, 7.1
1.638, 56.14, 6.8
2.163, 41.75, 5.9
1.852, 49.19, 5.1


Entry 2:
Diffraction record for NaSrGdMnO6. The PXRD pattern is simulated, not measured: it uses a DFT-relaxed cell (GGA+U, the Materials Project) and λ = 1.5418 Å (Cu Kα).
Intensities are scaled so that the largest is 100.

Atomic structure:
```
data_NaSrGdMnO6
_chemical_formula_sum 'Na4 Sr4 Gd4 Mn4 O24'
_cell_length_a 8.2251
_cell_length_b 8.2251
_cell_length_c 8.2251
_cell_angle_alpha 90.00
_cell_angle_beta 90.00
_cell_angle_gamma 90.00
_space_group_name_H-M_alt 'F -4 3 m'
_space_group_IT_number 216
_space_group_name_Hall 'F -4 2 3'
loop_
_atom_site_label
_atom_site_type_symbol
_atom_site_fract_x
_atom_site_fract_y
_atom_site_fract_z
Na1 Na 0.0000 0.0000 0.0000
Sr1 Sr 0.0000 0.0000 0.5000
Gd1 Gd 0.2500 0.2500 0.2500
Mn1 Mn 0.2500 0.2500 0.7500
O1 O 0.0190 0.2500 0.7500
```

Peak list (12 most intense, 15 to 90 degrees two-theta, by intensity)
d (Å), 2θ (°), I (rel.)
2.908, 30.75, 100.0
1.679, 54.67, 38.9
2.056, 44.04, 36.9
4.749, 18.69, 29.1
4.113, 21.61, 26.3
2.480, 36.22, 22.0
1.454, 64.04, 21.6
1.099, 89.08, 21.0
1.301, 72.71, 17.6
1.887, 48.23, 12.1
1.839, 49.56, 9.6
1.187, 80.99, 6.9


Entry 3:
Diffraction record for GdMn2O5. The PXRD pattern is simulated, not measured: it uses a DFT-relaxed cell (GGA+U, the Materials Project) and λ = 1.5418 Å (Cu Kα).
Intensities are scaled so that the largest is 100.

Atomic structure:
```
data_GdMn2O5
_chemical_formula_sum 'Gd4 Mn8 O20'
_cell_length_a 7.4448
_cell_length_b 8.6318
_cell_length_c 5.8030
_cell_angle_alpha 90.00
_cell_angle_beta 90.00
_cell_angle_gamma 90.00
_space_group_name_H-M_alt 'P b a m'
_space_group_IT_number 55
loop_
_space_group_symop_operation_xyz
'x,y,z'
'-x,-y,-z'
'-x,-y,z'
'x,y,-z'
'x+1/2,-y+1/2,-z'
'-x+1/2,y+1/2,z'
'-x+1/2,y+1/2,-z'
'x+1/2,-y+1/2,z'
loop_
_atom_site_label
_atom_site_type_symbol
_atom_site_fract_x
_atom_site_fract_y
_atom_site_fract_z
Gd1 Gd 0.1398 0.1715 0.0000
Mn1 Mn 0.0000 0.5000 0.2550
Mn2 Mn 0.0895 0.8498 0.5000
O1 O 0.0000 0.0000 0.2721
O2 O 0.1028 0.7070 0.2429
O3 O 0.1520 0.4349 0.5000
O4 O 0.1616 0.4451 0.0000
```

Peak list (12 most intense, 15 to 90 degrees two-theta, by intensity)
d (Å), 2θ (°), I (rel.)
2.945, 30.35, 100.0
3.139, 28.43, 73.6
2.684, 33.39, 38.4
5.803, 15.27, 37.7
2.212, 40.79, 26.9
2.580, 34.77, 25.6
1.577, 58.52, 20.6
1.683, 54.51, 19.9
3.729, 23.86, 18.4
1.970, 46.07, 17.1
1.952, 46.53, 16.9
2.017, 44.94, 15.7


Entry 4:
Diffraction record for Gd2Mn3Sb3O14. The PXRD pattern is simulated, not measured: it uses a DFT-relaxed cell (GGA+U, the Materials Project) and λ = 1.5418 Å (Cu Kα).
Intensities are scaled so that the largest is 100.

Atomic structure:
```
data_Gd2Mn3Sb3O14
_chemical_formula_sum 'Gd4 Mn6 Sb6 O28'
_cell_length_a 12.3449
_cell_length_b 7.4066
_cell_length_c 7.1619
_cell_angle_alpha 90.00
_cell_angle_beta 124.14
_cell_angle_gamma 90.00
_space_group_name_H-M_alt 'C 1 2/m 1'
_space_group_IT_number 12
loop_
_space_group_symop_operation_xyz
'x,y,z'
'-x,-y,-z'
'-x,y,-z'
'x,-y,z'
'x+1/2,y+1/2,z'
'-x+1/2,-y+1/2,-z'
'-x+1/2,y+1/2,-z'
'x+1/2,-y+1/2,z'
loop_
_atom_site_label
_atom_site_type_symbol
_atom_site_fract_x
_atom_site_fract_y
_atom_site_fract_z
Gd1 Gd 0.2500 0.2500 0.0000
Mn1 Mn 0.0000 0.0000 0.0000
Mn2 Mn 0.0000 0.0000 0.5000
Mn3 Mn 0.0000 0.5000 0.5000
Sb1 Sb 0.0000 0.5000 0.0000
Sb2 Sb 0.2500 0.2500 0.5000
O1 O 0.0840 0.5000 0.8351
O2 O 0.1123 0.0000 0.8642
O3 O 0.1247 0.2978 0.1696
O4 O 0.1265 0.3006 0.5848
O5 O 0.1708 0.0000 0.4228
```

Peak list (12 most intense, 15 to 90 degrees two-theta, by intensity)
d (Å), 2θ (°), I (rel.)
2.998, 29.80, 100.0
2.964, 30.15, 47.4
2.901, 30.82, 44.8
2.574, 34.86, 38.5
1.828, 49.88, 31.2
1.798, 50.77, 29.4
1.547, 59.80, 25.9
2.554, 35.13, 18.7
5.109, 17.36, 16.5
1.852, 49.21, 15.9
1.790, 51.02, 14.7
1.570, 58.80, 13.7